(1)
Starting from a structure optimized by DFT (GGA-PBE), the powder X-ray diffraction pattern of CdHg2SbI2 was computed for a wavelength of 1.5418 Å.
No peak broadening, texture or thermal motion is included.

Crystal structure
```
CdHg2SbI2
1.0
8.256 -3.648 0.000
8.256 3.648 0.000
0.000 0.000 7.866
Cd Hg Sb I
2 4 2 4
Direct
0.028 0.972 0.500
0.972 0.028 0.000
0.193 0.474 0.225
0.474 0.193 0.725
0.526 0.807 0.225
0.807 0.526 0.725
0.266 0.734 0.225
0.734 0.266 0.725
0.034 0.653 0.730
0.347 0.966 0.730
0.653 0.034 0.230
0.966 0.347 0.230
```

Peak list (12 most intense, 10° ≤ 2θ ≤ 80°, most intense first)
- d = 3.310 Å, rel. 1000
- d = 3.933 Å, rel. 951
- d = 2.752 Å, rel. 659
- d = 2.116 Å, rel. 564
- d = 2.255 Å, rel. 420
- d = 4.394 Å, rel. 388
- d = 2.675 Å, rel. 377
- d = 5.089 Å, rel. 319
- d = 2.141 Å, rel. 307
- d = 3.551 Å, rel. 277
- d = 2.129 Å, rel. 276
- d = 1.918 Å, rel. 267

---

(2)
Starting from a structure optimized by DFT (GGA-PBE), the powder X-ray diffraction pattern of Ba2CaCd7 was computed for a wavelength of 1.5418 Å.
No peak broadening, texture or thermal motion is included.

Crystal structure
```
Ba2CaCd7
1.0
4.794 0.000 0.000
0.000 4.794 0.000
0.000 0.000 13.500
Ba Ca Cd
2 1 7
Direct
0.000 0.500 0.234
0.500 0.000 0.766
0.000 0.000 0.500
0.000 0.000 0.000
0.000 0.500 0.652
0.000 0.500 0.869
0.500 0.000 0.131
0.500 0.000 0.348
0.500 0.500 0.000
0.500 0.500 0.500
```

Peak list (12 most intense, 10° ≤ 2θ ≤ 80°, most intense first)
- d = 3.029 Å, rel. 1000
- d = 2.395 Å, rel. 876
- d = 3.281 Å, rel. 486
- d = 2.353 Å, rel. 385
- d = 1.679 Å, rel. 270
- d = 1.479 Å, rel. 219
- d = 1.936 Å, rel. 213
- d = 1.695 Å, rel. 196
- d = 3.390 Å, rel. 138
- d = 1.380 Å, rel. 110
- d = 1.383 Å, rel. 92
- d = 1.254 Å, rel. 79

---

(3)
Starting from a structure optimized by DFT (GGA-PBE), the powder X-ray diffraction pattern of NaOsN was computed for a wavelength of 1.5418 Å.
No peak broadening, texture or thermal motion is included.

Crystal structure
```
NaOsN
1.0
0.000 4.458 5.275
3.784 0.000 5.275
3.784 4.458 0.000
Na Os N
4 4 4
Direct
0.009 0.009 0.741
0.259 0.259 0.991
0.741 0.741 0.009
0.991 0.991 0.259
0.000 0.500 0.500
0.500 0.000 0.500
0.500 0.500 0.000
0.500 0.500 0.500
0.151 0.599 0.599
0.401 0.849 0.849
0.599 0.151 0.151
0.849 0.401 0.401
```

Peak list (12 most intense, 10° ≤ 2θ ≤ 80°, most intense first)
- d = 5.062 Å, rel. 1000
- d = 2.531 Å, rel. 891
- d = 2.676 Å, rel. 318
- d = 2.637 Å, rel. 278
- d = 2.366 Å, rel. 253
- d = 3.003 Å, rel. 242
- d = 2.174 Å, rel. 196
- d = 1.501 Å, rel. 182
- d = 1.338 Å, rel. 152
- d = 1.998 Å, rel. 137
- d = 1.442 Å, rel. 136
- d = 1.892 Å, rel. 132